[1]
Simulated PXRD pattern
Compound: LaGd2Mg3Ir2Pt
Radiation: Cu Kα
Structure: a crystal structure in OQMD, relaxed with PBE
No peak broadening, texture or thermal motion is included.

Structural model:
```
LaGd2Mg3Ir2Pt
1.0
4.0822 0.0000 0.0000
0.0000 6.4086 3.7308
0.0000 -6.4086 3.7308
La Gd Mg Ir Pt
1 2 3 2 1
direct
0.0000 0.0000 0.0000
0.0000 0.4181 0.8309
0.0000 0.8309 0.4181
0.5000 0.1745 0.4235
0.5000 0.4235 0.1745
0.5000 0.6600 0.6600
0.5000 0.0881 0.7502
0.5000 0.7502 0.0881
0.0000 0.4254 0.4254
```

Peak list (10 most intense, 2θ = 10–90°, sorted by position)
| 2θ (°) | d/Å | I_rel |
| --- | --- | --- |
| 24.00 | 3.708 | 48.3 |
| 25.84 | 3.447 | 40.3 |
| 32.51 | 2.754 | 30.5 |
| 32.63 | 2.745 | 55.8 |
| 35.48 | 2.530 | 100.0 |
| 35.62 | 2.521 | 43.3 |
| 42.04 | 2.149 | 35.0 |
| 43.37 | 2.086 | 37.3 |
| 44.38 | 2.041 | 31.7 |
| 51.04 | 1.789 | 26.0 |



[2]
Simulated PXRD pattern
Compound: La2InCuSe5
Radiation: Cu Kα
Structure: a crystal structure in OQMD, relaxed with PBE
No peak broadening, texture or thermal motion is included.

Structural model:
```
La2InCuSe5
1.0
12.2163 0.0000 0.0000
0.0000 4.1375 0.0000
0.0000 0.0000 17.5898
La In Cu Se
8 4 4 20
direct
0.0221 0.2500 0.1785
0.1372 0.7500 0.5927
0.3628 0.2500 0.0927
0.4779 0.7500 0.6785
0.5221 0.2500 0.3215
0.6372 0.7500 0.9073
0.8628 0.2500 0.4073
0.9779 0.7500 0.8215
0.1912 0.7500 0.3607
0.3088 0.2500 0.8607
0.6912 0.7500 0.1393
0.8088 0.2500 0.6393
0.0759 0.7500 0.9979
0.4241 0.2500 0.4979
0.5759 0.7500 0.5021
0.9241 0.2500 0.0021
0.0166 0.2500 0.6944
0.1012 0.2500 0.9231
0.1082 0.2500 0.4631
0.1820 0.7500 0.1140
0.2404 0.7500 0.7707
0.2596 0.2500 0.2707
0.3180 0.2500 0.6140
0.3918 0.7500 0.9631
0.3988 0.7500 0.4231
0.4834 0.7500 0.1944
0.5166 0.2500 0.8056
0.6012 0.2500 0.5769
0.6082 0.2500 0.0369
0.6820 0.7500 0.3860
0.7404 0.7500 0.7293
0.7596 0.2500 0.2293
0.8180 0.2500 0.8860
0.8918 0.7500 0.5369
0.8988 0.7500 0.0769
0.9834 0.7500 0.3056
```

Peak list (10 most intense, 2θ = 10–90°, sorted by position)
| 2θ (°) | d/Å | I_rel |
| --- | --- | --- |
| 30.56 | 2.926 | 100.0 |
| 31.00 | 2.885 | 42.7 |
| 32.49 | 2.756 | 34.6 |
| 33.13 | 2.704 | 18.6 |
| 36.57 | 2.457 | 26.6 |
| 36.61 | 2.454 | 20.9 |
| 42.12 | 2.145 | 19.6 |
| 43.76 | 2.069 | 52.5 |
| 44.27 | 2.046 | 22.7 |
| 49.27 | 1.849 | 21.7 |